Entry 1:
The following is a theoretical powder X-ray diffraction pattern of Si23Ne. It was derived from a GGA-PBE-relaxed structure, using Cu Kα (weighted mean of Kα1 and Kα2).

Crystal structure
```
data_Si23Ne
_cell_length_a 10.2436
_cell_length_b 10.2436
_cell_length_c 10.2436
_cell_angle_alpha 90.00
_cell_angle_beta 90.00
_cell_angle_gamma 90.00
_space_group_name_H-M_alt 'P m -3 n'
_space_group_IT_number 223
_space_group_name_Hall '-P 4n 2 3'
loop_
_atom_site_label
_atom_site_fract_x
_atom_site_fract_y
_atom_site_fract_z
Si1 0.0000 0.1174 0.3081
Si2 0.0000 0.2500 0.5000
Si3 0.1839 0.1839 0.1839
Ne1 0.0000 0.0000 0.0000
```

Top 8 peaks for 2θ from 5° to 70°, by angle:
two_theta  I/Imax  hkl
12.2  25  1 1 0
19.4  88  2 1 0
21.2  34  2 1 1
32.7  100  3 2 1
36.2  30  4 1 0
40.3  28  4 2 1
52.1  62  5 3 0
55.3  49  5 3 2

---

Entry 2:
The following is a theoretical powder X-ray diffraction pattern of AcEr2Tm3. It was derived from a GGA-PBE-relaxed structure, using Cu Kα (weighted mean of Kα1 and Kα2).

Crystal structure
```
data_AcEr2Tm3
_cell_length_a 9.0573
_cell_length_b 9.8418
_cell_length_c 8.9510
_cell_angle_alpha 90.00
_cell_angle_beta 102.25
_cell_angle_gamma 90.00
_space_group_name_H-M_alt 'C 1 2/c 1'
_space_group_IT_number 15
_space_group_name_Hall '-C 2yc'
loop_
_atom_site_label
_atom_site_fract_x
_atom_site_fract_y
_atom_site_fract_z
Ac1 0.0000 0.0741 0.2500
Er1 0.1249 0.2566 0.6261
Tm1 0.0000 0.4165 0.2500
Tm2 0.2327 0.4110 0.9927
```

Top 8 peaks for 2θ from 5° to 70°, by angle:
two_theta  I/Imax  hkl
31.2  31  3 1 -1
31.3  31  2 2 -2
31.5  100  1 3 1
31.7  36  2 0 2
55.9  17  3 5 -1
56.1  13  0 6 0
56.3  19  3 3 3
62.5  12  3 3 -5